Starting from a structure optimized by DFT (GGA+U), the X-ray powder pattern of MnPH2CO6 was calculated for Cu Ka.
Kinematic intensities with the Lorentz-polarization factor, no thermal factor.

Atomic structure:
Cell lengths 6.119, 15.274, 5.536 Å; angles 90.00, 111.48, 90.00 degrees
Space group C2/m (No. 12)
One atom of each set of equivalent atoms:
Mn  0.000  0.193  0.000 (multiplicity 4)
P  0.000  0.330  0.500 (multiplicity 4)
H  0.224  0.405  0.322 (multiplicity 8)
C  0.097  0.000  0.942 (multiplicity 4)
O  0.111  0.277  0.751 (multiplicity 8)
O  0.170  0.074  0.900 (multiplicity 8)
O  0.205  0.390  0.491 (multiplicity 8)

Top 10 peaks for 2θ = 10–80°, low angle first:
2θ (°)	I (rel.)	(hkl)
11.59	1000	0 2 0
19.42	497	1 1 -1
25.53	953	1 3 -1
27.90	634	1 1 1
29.11	266	0 4 1
32.54	220	1 3 1
33.60	344	2 2 0
34.83	712	0 0 2
39.43	274	2 2 -2
54.06	192	3 5 -1